No. 1
# TbCuPb
Simulated powder X-ray diffraction pattern, a wavelength of 1.5418 Å. Input: a DFT-relaxed cell (GGA-PBE, OQMD).

Top 10 peaks for 10 to 80 degrees two-theta, sorted by position:
| Position (°2θ) | I (rel.) |
| --- | --- |
| 25.3 | 43 |
| 33.0 | 100 |
| 38.9 | 77 |
| 43.1 | 24 |
| 51.9 | 28 |
| 59.5 | 9 |
| 64.5 | 20 |
| 66.7 | 26 |
| 70.5 | 13 |
| 73.4 | 10 |

Atomic structure:
a b c (Å): 4.6278 4.6278 7.3914
angles (deg): 90.00 90.00 120.00
Sites, in units of the cell vectors:
Tb  0.0000  0.0000  0.0000
Tb  0.0000  0.0000  0.5000
Cu  0.3333  0.6667  0.3233
Cu  0.6667  0.3333  0.8233
Pb  0.3333  0.6667  0.7304
Pb  0.6667  0.3333  0.2304

***

No. 2
# Tb2YCu4Pb4
Simulated powder X-ray diffraction pattern, a wavelength of 1.5418 Å. Input: a DFT-relaxed cell (GGA-PBE, OQMD).

Top 10 peaks for 10 to 80 degrees two-theta, sorted by position:
| Position (°2θ) | I (rel.) |
| --- | --- |
| 26.4 | 34 |
| 27.9 | 32 |
| 32.3 | 24 |
| 32.6 | 100 |
| 33.4 | 90 |
| 35.8 | 20 |
| 39.4 | 48 |
| 44.2 | 42 |
| 44.9 | 28 |
| 49.0 | 28 |

Atomic structure:
a b c (Å): 8.6208 8.6208 8.6208
angles (deg): 149.26 131.55 58.48
Sites, in units of the cell vectors:
Tb  0.1318  0.1318  0.0000
Tb  0.8682  0.8682  0.0000
Y  0.5000  0.0000  0.5000
Cu  0.1423  0.3296  0.8127
Cu  0.4831  0.6704  0.8127
Cu  0.5169  0.3296  0.1873
Cu  0.8577  0.6704  0.1873
Pb  0.2085  0.5000  0.7085
Pb  0.2838  0.7838  0.5000
Pb  0.7162  0.2162  0.5000
Pb  0.7915  0.5000  0.2915

***

No. 3
# ZrCuTcPb
Simulated powder X-ray diffraction pattern, a wavelength of 1.5418 Å. Input: a DFT-relaxed cell (GGA-PBE, OQMD).

Top 10 peaks for 10 to 80 degrees two-theta, sorted by position:
| Position (°2θ) | I (rel.) |
| --- | --- |
| 23.3 | 14 |
| 27.0 | 9 |
| 38.5 | 100 |
| 45.5 | 8 |
| 47.6 | 3 |
| 55.6 | 17 |
| 61.1 | 4 |
| 62.8 | 4 |
| 69.6 | 34 |
| 74.5 | 3 |

Atomic structure:
a b c (Å): 4.6774 4.6774 4.6774
angles (deg): 60.00 60.00 60.00
Sites, in units of the cell vectors:
Zr  0.0000  0.0000  0.0000
Cu  0.2500  0.2500  0.2500
Tc  0.7500  0.7500  0.7500
Pb  0.5000  0.5000  0.5000

***

No. 4
# ZnCu2Pb
Simulated powder X-ray diffraction pattern, a wavelength of 1.5418 Å. Input: a DFT-relaxed cell (GGA-PBE, OQMD).

Top 10 peaks for 10 to 80 degrees two-theta, sorted by position:
| Position (°2θ) | I (rel.) |
| --- | --- |
| 23.9 | 7 |
| 27.6 | 18 |
| 31.0 | 21 |
| 39.5 | 100 |
| 42.0 | 8 |
| 48.9 | 7 |
| 57.1 | 15 |
| 59.0 | 8 |
| 64.6 | 12 |
| 71.6 | 28 |

Atomic structure:
a b c (Å): 6.4535 6.4535 6.4535
angles (deg): 90.00 90.00 90.00
Sites, in units of the cell vectors:
Zn  0.0000  0.0000  0.0000
Zn  0.0000  0.0000  0.5000
Zn  0.0000  0.5000  0.0000
Zn  0.5000  0.0000  0.0000
Cu  0.2172  0.2172  0.2172
Cu  0.2172  0.2172  0.7828
Cu  0.2172  0.7828  0.2172
Cu  0.2172  0.7828  0.7828
Cu  0.7828  0.2172  0.2172
Cu  0.7828  0.2172  0.7828
Cu  0.7828  0.7828  0.2172
Cu  0.7828  0.7828  0.7828
Pb  0.0000  0.5000  0.5000
Pb  0.5000  0.0000  0.5000
Pb  0.5000  0.5000  0.0000
Pb  0.5000  0.5000  0.5000

***

No. 5
# Zr2Cu2Pb3
Simulated powder X-ray diffraction pattern, a wavelength of 1.5418 Å. Input: a DFT-relaxed cell (GGA-PBE, OQMD).

Top 10 peaks for 10 to 80 degrees two-theta, sorted by position:
| Position (°2θ) | I (rel.) |
| --- | --- |
| 22.4 | 23 |
| 23.1 | 17 |
| 25.9 | 21 |
| 27.8 | 37 |
| 35.1 | 100 |
| 38.8 | 95 |
| 50.0 | 18 |
| 50.2 | 17 |
| 53.3 | 30 |
| 67.8 | 29 |

Atomic structure:
a b c (Å): 9.2333 9.2333 9.2333
angles (deg): 29.12 29.12 29.12
Sites, in units of the cell vectors:
Zr  0.0000  0.0000  0.0000
Zr  0.4954  0.4954  0.4954
Cu  0.2376  0.2376  0.2376
Cu  0.7491  0.7491  0.7491
Pb  0.3885  0.3885  0.3885
Pb  0.6182  0.6182  0.6182
Pb  0.8638  0.8638  0.8638

***

No. 6
# Cu2Pd
Simulated powder X-ray diffraction pattern, a wavelength of 1.5418 Å. Input: a DFT-relaxed cell (GGA-PBE, OQMD).

Top 10 peaks for 10 to 80 degrees two-theta, sorted by position:
| Position (°2θ) | I (rel.) |
| --- | --- |
| 24.8 | 3 |
| 26.0 | 1 |
| 33.2 | 2 |
| 41.9 | 100 |
| 47.6 | 17 |
| 47.8 | 17 |
| 50.8 | 14 |
| 69.8 | 10 |
| 72.2 | 9 |
| 72.3 | 9 |

Atomic structure:
a b c (Å): 4.4925 4.4925 5.2480
angles (deg): 103.87 103.87 50.11
Sites, in units of the cell vectors:
Cu  0.0000  0.0000  0.0000
Cu  0.0000  0.0000  0.5000
Cu  0.3308  0.3308  0.6643
Cu  0.6692  0.6692  0.3357
Pd  0.3393  0.3393  0.1762
Pd  0.6607  0.6607  0.8238

***

No. 7
# Pr2Cu5Pd5
Simulated powder X-ray diffraction pattern, a wavelength of 1.5418 Å. Input: a DFT-relaxed cell (GGA-PBE, OQMD).

Top 10 peaks for 10 to 80 degrees two-theta, sorted by position:
| Position (°2θ) | I (rel.) |
| --- | --- |
| 28.6 | 21 |
| 34.1 | 28 |
| 34.9 | 18 |
| 40.1 | 100 |
| 40.2 | 16 |
| 40.8 | 40 |
| 41.5 | 39 |
| 54.8 | 15 |
| 66.1 | 22 |
| 74.7 | 15 |

Atomic structure:
a b c (Å): 4.3529 5.1380 9.1801
angles (deg): 90.00 90.00 90.00
Sites, in units of the cell vectors:
Pr  0.0000  0.0000  0.0000
Pr  0.0000  0.5000  0.5000
Cu  0.5000  0.0000  0.5000
Cu  0.5000  0.2496  0.2563
Cu  0.5000  0.2496  0.7437
Cu  0.5000  0.7504  0.2563
Cu  0.5000  0.7504  0.7437
Pd  0.0000  0.0000  0.3345
Pd  0.0000  0.0000  0.6655
Pd  0.0000  0.5000  0.1778
Pd  0.0000  0.5000  0.8222
Pd  0.5000  0.5000  0.0000

***

No. 8
# CuSbPdS3
Simulated powder X-ray diffraction pattern, a wavelength of 1.5418 Å. Input: a DFT-relaxed cell (GGA-PBE, OQMD).

Top 10 peaks for 10 to 80 degrees two-theta, sorted by position:
| Position (°2θ) | I (rel.) |
| --- | --- |
| 13.9 | 13 |
| 27.6 | 75 |
| 29.4 | 100 |
| 30.0 | 18 |
| 30.2 | 16 |
| 31.5 | 24 |
| 42.7 | 18 |
| 47.5 | 22 |
| 48.4 | 53 |
| 55.8 | 23 |

Atomic structure:
a b c (Å): 5.0153 7.6504 12.7155
angles (deg): 90.00 90.00 90.00
Sites, in units of the cell vectors:
Cu  0.0234  0.1143  0.4381
Cu  0.4766  0.8857  0.9381
Cu  0.5234  0.3857  0.5619
Cu  0.9766  0.6143  0.0619
Sb  0.0541  0.1211  0.1297
Sb  0.4459  0.8789  0.6297
Sb  0.5541  0.3789  0.8703
Sb  0.9459  0.6211  0.3703
Pd  0.0079  0.6353  0.7496
Pd  0.4921  0.3647  0.2496
Pd  0.5079  0.8647  0.2504
Pd  0.9921  0.1353  0.7504
S  0.2279  0.1333  0.9143
S  0.2352  0.6330  0.9145
S  0.2475  0.3829  0.7054
S  0.2525  0.6171  0.2054
S  0.2648  0.3670  0.4145
S  0.2721  0.8667  0.4143
S  0.7279  0.3667  0.0857
S  0.7352  0.8670  0.0855
S  0.7475  0.1171  0.2946
S  0.7525  0.8829  0.7946
S  0.7648  0.1330  0.5855
S  0.7721  0.6333  0.5857

***

No. 9
# Tl2Cu2Pd3Se8
Simulated powder X-ray diffraction pattern, a wavelength of 1.5418 Å. Input: a DFT-relaxed cell (GGA-PBE, OQMD).

Top 10 peaks for 10 to 80 degrees two-theta, sorted by position:
| Position (°2θ) | I (rel.) |
| --- | --- |
| 19.4 | 30 |
| 30.5 | 38 |
| 31.3 | 100 |
| 32.5 | 49 |
| 34.6 | 68 |
| 37.7 | 26 |
| 39.4 | 33 |
| 47.9 | 37 |
| 53.8 | 32 |
| 60.4 | 27 |

Atomic structure:
a b c (Å): 7.4136 7.4136 14.2574
angles (deg): 113.68 113.68 29.67
Sites, in units of the cell vectors:
Tl  0.1584  0.1584  0.3027
Tl  0.8416  0.8416  0.6973
Cu  0.4593  0.4593  0.3016
Cu  0.5407  0.5407  0.6984
Pd  0.0000  0.0000  0.5000
Pd  0.1608  0.1608  0.8843
Pd  0.8392  0.8392  0.1157
Se  0.1454  0.1454  0.6937
Se  0.2114  0.2114  0.0787
Se  0.3949  0.3949  0.5310
Se  0.4660  0.4660  0.1351
Se  0.5340  0.5340  0.8649
Se  0.6051  0.6051  0.4690
Se  0.7886  0.7886  0.9213
Se  0.8546  0.8546  0.3063

***

No. 10
# SmCu6Pd6
Simulated powder X-ray diffraction pattern, a wavelength of 1.5418 Å. Input: a DFT-relaxed cell (GGA-PBE, OQMD).

Top 10 peaks for 10 to 80 degrees two-theta, sorted by position:
| Position (°2θ) | I (rel.) |
| --- | --- |
| 35.3 | 21 |
| 35.9 | 78 |
| 40.7 | 30 |
| 41.2 | 39 |
| 41.5 | 100 |
| 41.7 | 42 |
| 46.0 | 25 |
| 46.7 | 53 |
| 74.6 | 33 |
| 76.2 | 26 |

Atomic structure:
a b c (Å): 6.6813 6.6813 6.6813
angles (deg): 136.05 99.22 96.88
Sites, in units of the cell vectors:
Sm  0.0000  0.0000  0.0000
Cu  0.0000  0.0000  0.5000
Cu  0.0000  0.5000  0.0000
Cu  0.2365  0.7365  0.5000
Cu  0.5000  0.0000  0.0000
Cu  0.5000  0.5000  0.5000
Cu  0.7635  0.2635  0.5000
Pd  0.1930  0.5000  0.6930
Pd  0.3437  0.0000  0.3437
Pd  0.3473  0.3473  0.0000
Pd  0.6527  0.6527  0.0000
Pd  0.6563  0.0000  0.6563
Pd  0.8070  0.5000  0.3070

***

No. 11
# Cu5SnPd6
Simulated powder X-ray diffraction pattern, a wavelength of 1.5418 Å. Input: a DFT-relaxed cell (GGA-PBE, OQMD).

Top 10 peaks for 10 to 80 degrees two-theta, sorted by position:
| Position (°2θ) | I (rel.) |
| --- | --- |
| 26.6 | 2 |
| 30.5 | 3 |
| 40.9 | 100 |
| 43.7 | 21 |
| 43.8 | 20 |
| 54.7 | 10 |
| 63.5 | 13 |
| 72.5 | 17 |
| 78.3 | 14 |
| 78.5 | 14 |

Atomic structure:
a b c (Å): 6.5410 6.5410 6.7070
angles (deg): 90.00 90.00 143.04
Sites, in units of the cell vectors:
Cu  0.0000  0.0000  0.0000
Cu  0.3268  0.6732  0.5000
Cu  0.3335  0.6665  0.0000
Cu  0.6665  0.3335  0.0000
Cu  0.6732  0.3268  0.5000
Sn  0.0000  0.0000  0.5000
Pd  0.1682  0.8318  0.2431
Pd  0.1682  0.8318  0.7569
Pd  0.5000  0.5000  0.2426
Pd  0.5000  0.5000  0.7574
Pd  0.8318  0.1682  0.2431
Pd  0.8318  0.1682  0.7569

***

No. 12
# Tb2CuPd
Simulated powder X-ray diffraction pattern, a wavelength of 1.5418 Å. Input: a DFT-relaxed cell (GGA-PBE, OQMD).

Top 10 peaks for 10 to 80 degrees two-theta, sorted by position:
| Position (°2θ) | I (rel.) |
| --- | --- |
| 26.0 | 21 |
| 32.1 | 100 |
| 34.2 | 27 |
| 35.1 | 31 |
| 39.8 | 51 |
| 40.5 | 55 |
| 48.5 | 18 |
| 53.5 | 15 |
| 54.1 | 26 |
| 64.5 | 24 |

Atomic structure:
a b c (Å): 4.5287 5.5637 5.5637
angles (deg): 39.40 90.00 90.00
Sites, in units of the cell vectors:
Tb  0.0000  0.0000  0.0000
Tb  0.5000  0.2779  0.2779
Cu  0.5000  0.5605  0.5605
Pd  0.0000  0.7177  0.7177